Starting from a structure optimized by DFT (GGA-PBE), the powder diffractogram of Ti5Cd2Pd12 was computed for Cu Ka.
Kinematic intensities with the Lorentz-polarization factor, no thermal factor.

Top 10 peaks for 2θ = 10–90°, sorted by position:
| h k l | 2θ (°) | I_rel |
| --- | --- | --- |
| 2 0 -2 | 21.27 | 33 |
| 2 2 0 | 35.50 | 52 |
| 6 0 0 | 37.82 | 53 |
| 4 0 2 | 38.32 | 75 |
| 2 2 -2 | 39.67 | 100 |
| 0 2 2 | 39.88 | 37 |
| 5 1 -3 | 41.24 | 41 |
| 2 0 -4 | 41.71 | 91 |
| 2 2 2 | 44.09 | 57 |
| 4 2 1 | 45.48 | 43 |

Structure:
Unit cell a=15.0479 b=5.4138 c=8.6616 alpha=90.00 beta=108.47 gamma=90.00
Space group C2/m (No. 12)
Inequivalent atoms, fractional coordinates:
Ti 0.0000 0.0000 0.0000 [2 per cell]
Ti 0.1439 0.5000 0.3543 [4 per cell]
Ti 0.1836 0.5000 0.8553 [4 per cell]
Cd 0.0000 0.2501 0.5000 [4 per cell]
Pd 0.0112 0.5000 0.8493 [4 per cell]
Pd 0.1068 0.0000 0.8025 [4 per cell]
Pd 0.1583 0.2502 0.1027 [8 per cell]
Pd 0.1971 0.2445 0.6085 [8 per cell]



Starting from a structure optimized by DFT (GGA-PBE), the powder diffractogram of Ni5Ge was computed for Cu Ka.
Kinematic intensities with the Lorentz-polarization factor, no thermal factor.

Top 8 peaks for 2θ = 10–90°, sorted by position:
| h k l | 2θ (°) | I_rel |
| --- | --- | --- |
| 1 1 -2 | 44.01 | 100 |
| 3 1 0 | 44.25 | 99 |
| 2 0 2 | 50.93 | 64 |
| 4 0 -2 | 52.37 | 29 |
| 2 2 2 | 74.90 | 19 |
| 2 0 -4 | 75.74 | 9 |
| 4 2 -2 | 76.05 | 18 |
| 6 0 0 | 76.41 | 9 |

Structure:
Unit cell a=7.8311 b=3.5868 c=5.0247 alpha=90.00 beta=107.24 gamma=90.00
Space group C2/m (No. 12)
Inequivalent atoms, fractional coordinates:
Ni 0.0000 0.0000 0.0000 [2 per cell]
Ni 0.1664 0.5000 0.8371 [4 per cell]
Ni 0.1667 0.5000 0.3310 [4 per cell]
Ge 0.0000 0.0000 0.5000 [2 per cell]



Starting from a structure optimized by DFT (GGA-PBE), the powder diffractogram of CuNiSb6 was computed for Cu Ka.
Kinematic intensities with the Lorentz-polarization factor, no thermal factor.

Top 10 peaks for 2θ = 10–90°, sorted by position:
| h k l | 2θ (°) | I_rel |
| --- | --- | --- |
| 2 0 -3 | 30.05 | 32 |
| 3 1 0 | 30.12 | 75 |
| 4 0 -3 | 30.25 | 100 |
| 2 2 1 | 35.76 | 15 |
| 1 3 -2 | 35.90 | 19 |
| 3 3 -2 | 35.99 | 24 |
| 4 2 -4 | 43.17 | 18 |
| 6 0 -2 | 43.29 | 26 |
| 2 4 1 | 49.61 | 18 |
| 5 3 -4 | 49.76 | 24 |

Structure:
Unit cell a=13.2036 b=9.3368 c=9.3698 alpha=90.00 beta=134.65 gamma=90.00
Space group C2/m (No. 12)
Inequivalent atoms, fractional coordinates:
Cu 0.2500 0.2500 0.0000 [4 per cell]
Ni 0.2500 0.2500 0.5000 [4 per cell]
Sb 0.0057 0.1589 0.3464 [8 per cell]
Sb 0.1530 0.5000 0.8098 [4 per cell]
Sb 0.1580 0.3401 0.1643 [8 per cell]
Sb 0.1652 0.5000 0.5059 [4 per cell]



Starting from a structure optimized by DFT (GGA-PBE), the powder diffractogram of NdPaCSe was computed for Cu Ka.
Kinematic intensities with the Lorentz-polarization factor, no thermal factor.

Top 10 peaks for 2θ = 10–90°, sorted by position:
| h k l | 2θ (°) | I_rel |
| --- | --- | --- |
| 0 0 12 | 25.55 | 19 |
| 1 0 4 | 27.38 | 34 |
| 0 1 5 | 28.13 | 25 |
| 1 0 7 | 30.05 | 100 |
| 0 1 11 | 35.25 | 36 |
| 0 1 14 | 40.03 | 19 |
| 1 1 0 | 45.85 | 43 |
| 1 1 12 | 53.22 | 16 |
| 0 2 7 | 55.80 | 18 |
| 1 1 18 | 61.55 | 19 |

Structure:
Unit cell a=3.9581 b=3.9581 c=41.8316 alpha=90.00 beta=90.00 gamma=120.00
Space group R-3m (No. 166, hexagonal axes)
Inequivalent atoms, fractional coordinates:
Nd 0.0000 0.0000 0.2032 [6 per cell]
Pa 0.0000 0.0000 0.3676 [6 per cell]
C 0.0000 0.0000 0.3120 [6 per cell]
Se 0.0000 0.0000 0.0836 [6 per cell]



Starting from a structure optimized by DFT (GGA-PBE), the powder diffractogram of Zr9C4O2 was computed for Cu Ka.
Kinematic intensities with the Lorentz-polarization factor, no thermal factor.

Top 10 peaks for 2θ = 10–90°, sorted by position:
| h k l | 2θ (°) | I_rel |
| --- | --- | --- |
| 1 1 0 | 31.14 | 16 |
| 0 0 6 | 33.55 | 22 |
| 1 1 3 | 35.48 | 100 |
| 1 1 6 | 46.43 | 21 |
| 3 0 0 | 55.40 | 20 |
| 1 1 9 | 61.25 | 20 |
| 3 0 6 | 66.35 | 17 |
| 2 2 3 | 67.54 | 14 |
| 2 2 6 | 75.10 | 4 |
| 2 2 9 | 87.20 | 7 |

Structure:
Unit cell a=5.7449 b=5.7449 c=16.0247 alpha=90.00 beta=90.00 gamma=120.00
Space group P-3c1 (No. 165)
Inequivalent atoms, fractional coordinates:
Zr 0.0000 0.3286 0.2500 [6 per cell]
Zr 0.0086 0.3423 0.9177 [12 per cell]
C 0.3333 0.6667 0.0051 [4 per cell]
C 0.3333 0.6667 0.3266 [4 per cell]
O 0.0000 0.0000 0.1642 [4 per cell]



Starting from a structure optimized by DFT (GGA-PBE), the powder diffractogram of DyNi9Sn2 was computed for Cu Ka.
Kinematic intensities with the Lorentz-polarization factor, no thermal factor.

Top 10 peaks for 2θ = 10–90°, sorted by position:
| h k l | 2θ (°) | I_rel |
| --- | --- | --- |
| 1 0 7 | 33.85 | 38 |
| 1 1 0 | 36.45 | 50 |
| 0 1 8 | 37.01 | 39 |
| 0 2 1 | 42.52 | 41 |
| 1 1 6 | 43.30 | 100 |
| 0 0 12 | 46.10 | 14 |
| 2 0 5 | 46.69 | 18 |
| 0 3 6 | 70.33 | 23 |
| 1 1 15 | 71.01 | 14 |
| 2 2 0 | 77.43 | 23 |

Structure:
Unit cell a=4.9303 b=4.9303 c=23.6283 alpha=90.00 beta=90.00 gamma=120.00
Space group R-3m (No. 166, hexagonal axes)
Inequivalent atoms, fractional coordinates:
Dy 0.0000 0.0000 0.0000 [3 per cell]
Ni 0.0000 0.0000 0.3338 [6 per cell]
Ni 0.0000 0.0000 0.5000 [3 per cell]
Ni 0.0039 0.5019 0.9157 [18 per cell]
Sn 0.0000 0.0000 0.1378 [6 per cell]